[1]
Diffraction record for Ta4W2Au3N3. The powder diffraction line list is calculated, not measured: it uses a cell relaxed with GGA-PBE and CuKα.
Neutral-atom scattering factors, no anomalous dispersion.

Lattice parameters (Å, degrees): 5.5084 5.5084 13.6655 101.70 101.70 59.91
Positions (direct):
Ta 0.0148 0.2095 0.0868
Ta 0.1524 0.3019 0.4128
Ta 0.2095 0.0148 0.5868
Ta 0.3019 0.1524 0.9128
Ta 0.6981 0.8476 0.0872
Ta 0.7905 0.9852 0.4132
Ta 0.8476 0.6981 0.5872
Ta 0.9852 0.7905 0.9132
W 0.3713 0.5278 0.0775
W 0.4722 0.6287 0.4225
W 0.5278 0.3713 0.5775
W 0.6287 0.4722 0.9225
Au 0.1003 0.8997 0.2500
Au 0.2675 0.4148 0.7449
Au 0.4148 0.2675 0.2449
Au 0.5852 0.7325 0.7551
Au 0.7325 0.5852 0.2551
Au 0.8997 0.1003 0.7500
N 0.0000 0.5000 0.0000
N 0.1429 0.6765 0.5002
N 0.3235 0.8571 0.9998
N 0.5000 0.0000 0.5000
N 0.6765 0.1429 0.0002
N 0.8571 0.3235 0.4998

Peak list (12 most intense, 10° ≤ 2θ ≤ 90°, most intense first)
- 38.51°, rel. 100
- 32.52°, rel. 24
- 58.03°, rel. 21
- 40.75°, rel. 18
- 73.34°, rel. 16
- 72.68°, rel. 15
- 53.08°, rel. 14
- 71.78°, rel. 10
- 71.89°, rel. 5
- 73.21°, rel. 3
- 82.49°, rel. 3
- 88.26°, rel. 2



[2]
Diffraction record for Tb3AuN6. The powder diffraction line list is calculated, not measured: it uses a cell relaxed with GGA-PBE and CuKα.
Neutral-atom scattering factors, no anomalous dispersion.

Lattice parameters (Å, degrees): 3.7716 5.7433 6.5433 99.57 99.18 98.42
Positions (direct):
Tb 0.0000 0.0000 0.0000
Tb 0.2795 0.4992 0.7113
Tb 0.7205 0.5008 0.2887
Au 0.5000 0.0000 0.5000
N 0.2051 0.2700 0.3552
N 0.2607 0.7386 0.2031
N 0.4571 0.7501 0.0555
N 0.5429 0.2499 0.9445
N 0.7393 0.2614 0.7969
N 0.7949 0.7300 0.6448

Peak list (12 most intense, 10° ≤ 2θ ≤ 90°, most intense first)
- 31.21°, rel. 100
- 29.48°, rel. 84
- 29.60°, rel. 80
- 30.39°, rel. 78
- 35.20°, rel. 74
- 32.12°, rel. 68
- 39.01°, rel. 65
- 50.06°, rel. 31
- 49.54°, rel. 27
- 52.00°, rel. 23
- 52.50°, rel. 23
- 45.34°, rel. 22



[3]
Diffraction record for W2AuN. The powder diffraction line list is calculated, not measured: it uses a cell relaxed with GGA-PBE and CuKα.
Neutral-atom scattering factors, no anomalous dispersion.

Lattice parameters (Å, degrees): 2.8402 2.8402 15.5466 90.00 90.00 120.00
Positions (direct):
W 0.3333 0.6667 0.0930
W 0.3333 0.6667 0.4070
W 0.6667 0.3333 0.5930
W 0.6667 0.3333 0.9070
Au 0.3333 0.6667 0.7500
Au 0.6667 0.3333 0.2500
N 0.0000 0.0000 0.0000
N 0.0000 0.0000 0.5000

Peak list (12 most intense, 10° ≤ 2θ ≤ 90°, most intense first)
- 40.60°, rel. 100
- 34.62°, rel. 30
- 36.53°, rel. 21
- 66.10°, rel. 20
- 76.49°, rel. 19
- 51.21°, rel. 17
- 65.76°, rel. 17
- 80.22°, rel. 14
- 84.52°, rel. 5
- 87.88°, rel. 5
- 77.97°, rel. 3
- 47.11°, rel. 3



[4]
Diffraction record for Zr4AuN3. The powder diffraction line list is calculated, not measured: it uses a cell relaxed with GGA-PBE and CuKα.
Neutral-atom scattering factors, no anomalous dispersion.

Lattice parameters (Å, degrees): 3.2752 3.2752 24.7657 90.00 90.00 120.00
Positions (direct):
Zr 0.0000 0.0000 0.1581
Zr 0.0000 0.0000 0.3419
Zr 0.0000 0.0000 0.6581
Zr 0.0000 0.0000 0.8419
Zr 0.3333 0.6667 0.0546
Zr 0.3333 0.6667 0.4454
Zr 0.6667 0.3333 0.5546
Zr 0.6667 0.3333 0.9454
Au 0.3333 0.6667 0.2500
Au 0.6667 0.3333 0.7500
N 0.0000 0.0000 0.0000
N 0.0000 0.0000 0.5000
N 0.3333 0.6667 0.6074
N 0.3333 0.6667 0.8926
N 0.6667 0.3333 0.1074
N 0.6667 0.3333 0.3926

Peak list (12 most intense, 10° ≤ 2θ ≤ 90°, most intense first)
- 36.50°, rel. 100
- 38.51°, rel. 88
- 31.75°, rel. 57
- 34.79°, rel. 47
- 56.17°, rel. 45
- 36.27°, rel. 38
- 68.72°, rel. 35
- 51.85°, rel. 26
- 45.95°, rel. 16
- 68.86°, rel. 15
- 65.40°, rel. 15
- 69.14°, rel. 15



[5]
Diffraction record for NaAu4. The powder diffraction line list is calculated, not measured: it uses a cell relaxed with GGA-PBE and CuKα.
Neutral-atom scattering factors, no anomalous dispersion.

Lattice parameters (Å, degrees): 6.9601 6.9601 6.9601 145.54 145.54 49.54
Positions (direct):
Na 0.0000 0.0000 0.0000
Au 0.2500 0.7500 0.5000
Au 0.3982 0.3982 0.0000
Au 0.6018 0.6018 0.0000
Au 0.7500 0.2500 0.5000

Peak list (12 most intense, 10° ≤ 2θ ≤ 90°, most intense first)
- 33.86°, rel. 100
- 42.17°, rel. 95
- 22.68°, rel. 81
- 43.91°, rel. 57
- 14.01°, rel. 45
- 41.92°, rel. 35
- 79.52°, rel. 32
- 63.09°, rel. 27
- 62.32°, rel. 22
- 74.26°, rel. 21
- 42.93°, rel. 21
- 49.98°, rel. 21



[6]
Diffraction record for Na3Au2. The powder diffraction line list is calculated, not measured: it uses a cell relaxed with GGA-PBE and CuKα.
Neutral-atom scattering factors, no anomalous dispersion.

Lattice parameters (Å, degrees): 7.6702 7.6702 3.9854 90.00 90.00 90.00
Positions (direct):
Na 0.0000 0.0000 0.0000
Na 0.1635 0.3365 0.5000
Na 0.3365 0.8365 0.5000
Na 0.5000 0.5000 0.0000
Na 0.6635 0.1635 0.5000
Na 0.8365 0.6635 0.5000
Au 0.1315 0.6315 0.0000
Au 0.3685 0.1315 0.0000
Au 0.6315 0.8685 0.0000
Au 0.8685 0.3685 0.0000

Peak list (12 most intense, 10° ≤ 2θ ≤ 90°, most intense first)
- 34.50°, rel. 100
- 25.98°, rel. 61
- 22.31°, rel. 47
- 16.34°, rel. 40
- 37.06°, rel. 26
- 48.51°, rel. 22
- 43.69°, rel. 22
- 53.16°, rel. 18
- 27.78°, rel. 17
- 70.17°, rel. 16
- 52.99°, rel. 16
- 42.49°, rel. 15



[7]
Diffraction record for Na2Au7. The powder diffraction line list is calculated, not measured: it uses a cell relaxed with GGA-PBE and CuKα.
Neutral-atom scattering factors, no anomalous dispersion.

Lattice parameters (Å, degrees): 14.2403 14.2403 14.2403 22.78 22.78 22.78
Positions (direct):
Na 0.0536 0.0536 0.0536
Na 0.1511 0.1511 0.1511
Na 0.8489 0.8489 0.8489
Na 0.9464 0.9464 0.9464
Au 0.0000 0.5000 0.5000
Au 0.1086 0.6137 0.6137
Au 0.2773 0.2773 0.2773
Au 0.3863 0.3863 0.8914
Au 0.3863 0.8914 0.3863
Au 0.3891 0.3891 0.3891
Au 0.5000 0.0000 0.5000
Au 0.5000 0.5000 0.0000
Au 0.5000 0.5000 0.5000
Au 0.6109 0.6109 0.6109
Au 0.6137 0.1086 0.6137
Au 0.6137 0.6137 0.1086
Au 0.7227 0.7227 0.7227
Au 0.8914 0.3863 0.3863

Peak list (12 most intense, 10° ≤ 2θ ≤ 90°, most intense first)
- 37.44°, rel. 100
- 18.34°, rel. 99
- 40.92°, rel. 62
- 43.04°, rel. 46
- 38.98°, rel. 42
- 79.85°, rel. 33
- 66.50°, rel. 28
- 60.44°, rel. 25
- 69.60°, rel. 21
- 36.98°, rel. 19
- 41.29°, rel. 18
- 49.57°, rel. 17



[8]
Diffraction record for Na8Au3. The powder diffraction line list is calculated, not measured: it uses a cell relaxed with GGA-PBE and CuKα.
Neutral-atom scattering factors, no anomalous dispersion.

Lattice parameters (Å, degrees): 5.0084 5.0084 11.7013 102.48 102.48 59.95
Positions (direct):
Na 0.0901 0.0901 0.2700
Na 0.1797 0.1797 0.5392
Na 0.2717 0.2717 0.8150
Na 0.3637 0.3637 0.0912
Na 0.6363 0.6363 0.9088
Na 0.7283 0.7283 0.1850
Na 0.8203 0.8203 0.4608
Na 0.9099 0.9099 0.7300
Au 0.0000 0.0000 0.0000
Au 0.4562 0.4562 0.3686
Au 0.5438 0.5438 0.6314

Peak list (12 most intense, 10° ≤ 2θ ≤ 90°, most intense first)
- 21.14°, rel. 100
- 35.68°, rel. 77
- 35.87°, rel. 77
- 23.03°, rel. 41
- 43.36°, rel. 28
- 40.27°, rel. 23
- 23.55°, rel. 22
- 27.58°, rel. 21
- 64.32°, rel. 18
- 51.53°, rel. 18
- 42.01°, rel. 18
- 56.40°, rel. 15



[9]
Diffraction record for NaNbTe2AuSe. The powder diffraction line list is calculated, not measured: it uses a cell relaxed with GGA-PBE and CuKα.
Neutral-atom scattering factors, no anomalous dispersion.

Lattice parameters (Å, degrees): 7.6804 7.6804 10.3831 90.00 90.00 150.93
Positions (direct):
Na 0.2402 0.7598 0.7500
Na 0.7598 0.2402 0.2500
Nb 0.0000 0.0000 0.0000
Nb 0.0000 0.0000 0.5000
Te 0.3582 0.6418 0.0289
Te 0.3582 0.6418 0.4711
Te 0.6418 0.3582 0.5289
Te 0.6418 0.3582 0.9711
Au 0.4528 0.5472 0.2500
Au 0.5472 0.4528 0.7500
Se 0.0752 0.9248 0.2500
Se 0.9248 0.0752 0.7500

Peak list (12 most intense, 10° ≤ 2θ ≤ 90°, most intense first)
- 34.16°, rel. 100
- 11.90°, rel. 90
- 30.62°, rel. 58
- 34.55°, rel. 47
- 46.66°, rel. 30
- 40.33°, rel. 25
- 47.16°, rel. 24
- 23.85°, rel. 23
- 52.27°, rel. 19
- 59.76°, rel. 19
- 53.42°, rel. 19
- 29.54°, rel. 18



[10]
Diffraction record for NaNdAu3S4. The powder diffraction line list is calculated, not measured: it uses a cell relaxed with GGA-PBE and CuKα.
Neutral-atom scattering factors, no anomalous dispersion.

Lattice parameters (Å, degrees): 6.1931 6.1931 6.1931 90.00 90.00 90.00
Positions (direct):
Na 0.0000 0.0000 0.0000
Nd 0.5000 0.5000 0.5000
Au 0.0000 0.5000 0.5000
Au 0.5000 0.0000 0.5000
Au 0.5000 0.5000 0.0000
S 0.2526 0.2526 0.2526
S 0.2526 0.7474 0.7474
S 0.7474 0.2526 0.7474
S 0.7474 0.7474 0.2526

Peak list (12 most intense, 10° ≤ 2θ ≤ 90°, most intense first)
- 41.23°, rel. 100
- 14.30°, rel. 85
- 24.90°, rel. 76
- 28.83°, rel. 64
- 32.32°, rel. 48
- 48.77°, rel. 38
- 75.15°, rel. 34
- 43.86°, rel. 27
- 67.66°, rel. 24
- 51.09°, rel. 19
- 59.73°, rel. 17
- 61.76°, rel. 16



[11]
Diffraction record for NaNdAu3Se4. The powder diffraction line list is calculated, not measured: it uses a cell relaxed with GGA-PBE and CuKα.
Neutral-atom scattering factors, no anomalous dispersion.

Lattice parameters (Å, degrees): 6.3995 6.3995 6.3995 90.00 90.00 90.00
Positions (direct):
Na 0.0000 0.0000 0.0000
Nd 0.5000 0.5000 0.5000
Au 0.0000 0.5000 0.5000
Au 0.5000 0.0000 0.5000
Au 0.5000 0.5000 0.0000
Se 0.2505 0.2505 0.2505
Se 0.2505 0.7495 0.7495
Se 0.7495 0.2505 0.7495
Se 0.7495 0.7495 0.2505

Peak list (12 most intense, 10° ≤ 2θ ≤ 90°, most intense first)
- 39.84°, rel. 100
- 24.09°, rel. 69
- 13.84°, rel. 56
- 47.10°, rel. 35
- 72.34°, rel. 35
- 31.25°, rel. 33
- 27.88°, rel. 21
- 42.37°, rel. 18
- 57.61°, rel. 17
- 63.35°, rel. 14
- 85.91°, rel. 11
- 77.50°, rel. 11



[12]
Diffraction record for RbNaAu2O4. The powder diffraction line list is calculated, not measured: it uses a cell relaxed with GGA-PBE and CuKα.
Neutral-atom scattering factors, no anomalous dispersion.

Lattice parameters (Å, degrees): 6.0795 6.3350 6.3350 33.77 90.00 90.00
Positions (direct):
Rb 0.0000 0.0000 0.0000
Na 0.5000 0.5702 0.5702
Au 0.0000 0.2774 0.2774
Au 0.5000 0.2840 0.2840
O 0.2486 0.3920 0.3920
O 0.2611 0.1692 0.1692
O 0.7389 0.1692 0.1692
O 0.7514 0.3920 0.3920

Peak list (12 most intense, 10° ≤ 2θ ≤ 90°, most intense first)
- 25.29°, rel. 100
- 14.61°, rel. 89
- 32.93°, rel. 73
- 44.70°, rel. 66
- 29.37°, rel. 46
- 42.10°, rel. 40
- 39.15°, rel. 38
- 67.02°, rel. 32
- 29.47°, rel. 30
- 54.48°, rel. 28
- 58.67°, rel. 21
- 67.21°, rel. 17